Record 1
Theoretical X-ray diffraction stick pattern of MgSbRhO4 for Cu Kα, 1.54184 Å, from a GGA-PBE-relaxed structure.

Principal peaks in the range 5° ≤ 2θ ≤ 70°, low angle first:
d = 4.039 Å, rel. 100; d = 3.525 Å, rel. 72; d = 3.146 Å, rel. 27; d = 2.813 Å, rel. 38; d = 2.746 Å, rel. 41; d = 2.669 Å, rel. 44; d = 2.522 Å, rel. 30; d = 2.482 Å, rel. 26; d = 2.347 Å, rel. 55; d = 2.019 Å, rel. 36; d = 1.870 Å, rel. 27; d = 1.515 Å, rel. 20

Cell: 5.091 3.146 5.679 Å, 90.00 97.82 90.00°
Fractional positions:
Mg 0.000 0.000 0.000
Sb 0.000 0.281 0.500
Rh 0.500 0.538 0.000
O 0.188 0.514 0.207
O 0.307 0.053 0.807
O 0.693 0.053 0.193
O 0.812 0.514 0.793

---

Record 2
Theoretical X-ray diffraction stick pattern of Te6Mo3WSe2 for Cu Kα, 1.54184 Å, from a GGA-PBE-relaxed structure.

Principal peaks in the range 5° ≤ 2θ ≤ 70°, low angle first:
d = 13.194 Å, rel. 30; d = 7.916 Å, rel. 91; d = 3.028 Å, rel. 57; d = 2.830 Å, rel. 13; d = 2.671 Å, rel. 13; d = 2.584 Å, rel. 100; d = 2.495 Å, rel. 18; d = 2.148 Å, rel. 67; d = 2.067 Å, rel. 22; d = 1.749 Å, rel. 44; d = 1.449 Å, rel. 17; d = 1.356 Å, rel. 15

Cell: 3.499 3.499 39.581 Å, 90.00 90.00 120.00°
Fractional positions:
Te 0.000 0.000 0.000
Te 0.000 0.000 0.093
Te 0.000 0.000 0.376
Te 0.000 0.000 0.469
Te 0.333 0.667 0.188
Te 0.333 0.667 0.281
Mo 0.000 0.000 0.234
Mo 0.000 0.000 0.859
Mo 0.333 0.667 0.422
W 0.333 0.667 0.047
Se 0.333 0.667 0.818
Se 0.333 0.667 0.900

---

Record 3
Theoretical X-ray diffraction stick pattern of MoWSe4 for Cu Kα, 1.54184 Å, from a GGA-PBE-relaxed structure.

Principal peaks in the range 5° ≤ 2θ ≤ 70°, low angle first:
d = 12.616 Å, rel. 26; d = 7.570 Å, rel. 100; d = 6.308 Å, rel. 20; d = 2.876 Å, rel. 36; d = 2.690 Å, rel. 13; d = 2.459 Å, rel. 70; d = 2.375 Å, rel. 9; d = 2.047 Å, rel. 48; d = 1.970 Å, rel. 17; d = 1.661 Å, rel. 27; d = 1.623 Å, rel. 11; d = 1.377 Å, rel. 11

Cell: 3.323 3.323 37.849 Å, 90.00 90.00 120.00°
Fractional positions:
Mo 0.000 0.000 0.000
Mo 0.333 0.667 0.188
W 0.000 0.000 0.376
W 0.333 0.667 0.564
Se 0.000 0.000 0.144
Se 0.000 0.000 0.232
Se 0.000 0.000 0.519
Se 0.000 0.000 0.608
Se 0.333 0.667 0.044
Se 0.333 0.667 0.331
Se 0.333 0.667 0.420
Se 0.333 0.667 0.956